Simulated powder XRD pattern of HoMnCo for copper Kα, from a structure optimized by DFT (PBE).
Peak positions follow from Bragg's law for the DFT cell and can differ from measured ones.

Main lines, by intensity (10 to 80 degrees two-theta):
h k l	2theta	Rel. int.
1 1 2	35.2	100
1 2 1	40.4	79
2 1 1	40.8	75
0 1 3	42.1	41
2 2 4	74.3	31
0 2 0	33.9	30
1 0 3	42.2	28
1 0 1	21.3	25
2 0 0	34.5	24
1 3 2	61.5	20

Structure:
abc: 5.193 5.285 7.045
angles: 90.00 90.00 90.00
Space group Imma (No. 74)
One atom of each set of equivalent atoms:
Ho  0.000  0.250  0.120 (multiplicity 4)
Mn  0.000  0.000  0.500 (multiplicity 4)
Co  0.250  0.250  0.750 (multiplicity 4)